Entry 1:
Simulated powder diffraction line list
Compound: OF3
Radiation: Cu Kα, 1.54184 Å
Structure: a structure optimized by DFT (PBE)
Peak positions follow from Bragg's law for the DFT cell and can differ from measured ones.

Principal peaks in the range 2θ = 10–90°, by angle:
- 15.98 deg, d 5.547, rel. 47
- 16.09 deg, d 5.507, rel. 65
- 16.24 deg, d 5.459, rel. 54
- 32.27 deg, d 2.774, rel. 41
- 32.52 deg, d 2.754, rel. 30
- 32.81 deg, d 2.729, rel. 59
- 34.75 deg, d 2.581, rel. 100
- 34.98 deg, d 2.565, rel. 29
- 41.56 deg, d 2.173, rel. 45
- 44.97 deg, d 2.016, rel. 80

Atomic structure:
a b c (Å): 2.9338 6.3079 6.3540
angles (deg): 60.82 89.06 89.18
Sites, in units of the cell vectors:
O: 0.0000 0.0000 0.0000
O: 0.0662 0.7788 0.5767
F: 0.2402 0.7920 0.0626
F: 0.3059 0.2608 0.6996
F: 0.3928 0.2652 0.0019
F: 0.6856 0.6317 0.4232
F: 0.8550 0.6600 0.8072
F: 0.9304 0.0277 0.4744

***

Entry 2:
Simulated powder diffraction line list
Compound: SmMgAg2
Radiation: Cu Kα, 1.54184 Å
Structure: a structure optimized by DFT (PBE)
Peak positions follow from Bragg's law for the DFT cell and can differ from measured ones.

Principal peaks in the range 2θ = 10–90°, by angle:
- 21.65 deg, d 4.104, rel. 23
- 35.72 deg, d 2.513, rel. 100
- 42.16 deg, d 2.143, rel. 12
- 51.42 deg, d 1.777, rel. 17
- 56.42 deg, d 1.631, rel. 5
- 64.18 deg, d 1.451, rel. 34
- 68.60 deg, d 1.368, rel. 4
- 75.68 deg, d 1.257, rel. 11
- 79.82 deg, d 1.202, rel. 4
- 86.61 deg, d 1.124, rel. 15

Atomic structure:
a b c (Å): 7.1088 7.1088 7.1088
angles (deg): 90.00 90.00 90.00
Sites, in units of the cell vectors:
Sm: 0.0000 0.0000 0.0000
Sm: 0.0000 0.5000 0.5000
Sm: 0.5000 0.0000 0.5000
Sm: 0.5000 0.5000 0.0000
Mg: 0.0000 0.0000 0.5000
Mg: 0.0000 0.5000 0.0000
Mg: 0.5000 0.0000 0.0000
Mg: 0.5000 0.5000 0.5000
Ag: 0.2500 0.2500 0.2500
Ag: 0.2500 0.2500 0.7500
Ag: 0.2500 0.7500 0.2500
Ag: 0.2500 0.7500 0.7500
Ag: 0.7500 0.2500 0.2500
Ag: 0.7500 0.2500 0.7500
Ag: 0.7500 0.7500 0.2500
Ag: 0.7500 0.7500 0.7500

***

Entry 3:
Simulated powder diffraction line list
Compound: Li7Zr3NbTe4O24
Radiation: Cu Kα, 1.54184 Å
Structure: a structure optimized by DFT (PBE)
Peak positions follow from Bragg's law for the DFT cell and can differ from measured ones.

Principal peaks in the range 2θ = 10–90°, by angle:
- 23.38 deg, d 3.804, rel. 100
- 32.50 deg, d 2.755, rel. 38
- 34.10 deg, d 2.629, rel. 24
- 41.76 deg, d 2.163, rel. 13
- 47.82 deg, d 1.902, rel. 18
- 52.79 deg, d 1.734, rel. 27
- 54.98 deg, d 1.670, rel. 16
- 60.03 deg, d 1.541, rel. 14
- 61.05 deg, d 1.518, rel. 11
- 76.70 deg, d 1.242, rel. 7

Atomic structure:
a b c (Å): 18.7054 18.7054 18.7054
angles (deg): 16.16 16.16 16.16
Sites, in units of the cell vectors:
Li: 0.0000 0.0000 0.0000
Li: 0.1198 0.1198 0.1198
Li: 0.2499 0.2499 0.2499
Li: 0.4995 0.4995 0.4995
Li: 0.6207 0.6207 0.6207
Li: 0.7491 0.7491 0.7491
Li: 0.8701 0.8701 0.8701
Zr: 0.1914 0.1914 0.1914
Zr: 0.4410 0.4410 0.4410
Zr: 0.9420 0.9420 0.9420
Nb: 0.6922 0.6922 0.6922
Te: 0.0661 0.0661 0.0661
Te: 0.3178 0.3178 0.3178
Te: 0.5669 0.5669 0.5669
Te: 0.8163 0.8163 0.8163
O: 0.0126 0.2617 0.6209
O: 0.0148 0.6241 0.3763
O: 0.1118 0.7829 0.3683
O: 0.1181 0.5068 0.7664
O: 0.1215 0.8589 0.5338
O: 0.2573 0.5162 0.8692
O: 0.2617 0.6209 0.0126
O: 0.2847 0.8712 0.6100
O: 0.3683 0.1118 0.7829
O: 0.3763 0.0148 0.6241
O: 0.3783 0.7801 0.9813
O: 0.5068 0.7664 0.1181
O: 0.5162 0.8692 0.2573
O: 0.5338 0.1215 0.8589
O: 0.6100 0.2847 0.8712
O: 0.6209 0.0126 0.2617
O: 0.6241 0.3763 0.0148
O: 0.7664 0.1181 0.5068
O: 0.7801 0.9813 0.3783
O: 0.7829 0.3683 0.1118
O: 0.8589 0.5338 0.1215
O: 0.8692 0.2573 0.5162
O: 0.8712 0.6100 0.2847
O: 0.9813 0.3783 0.7801

***

Entry 4:
Simulated powder diffraction line list
Compound: LiPu2TeO2
Radiation: Cu Kα, 1.54184 Å
Structure: a structure optimized by DFT (PBE)
Peak positions follow from Bragg's law for the DFT cell and can differ from measured ones.

Principal peaks in the range 2θ = 10–90°, by angle:
- 11.08 deg, d 7.988, rel. 25
- 27.84 deg, d 3.204, rel. 100
- 31.54 deg, d 2.837, rel. 35
- 33.66 deg, d 2.663, rel. 12
- 35.93 deg, d 2.499, rel. 11
- 45.21 deg, d 2.006, rel. 17
- 46.79 deg, d 1.941, rel. 25
- 53.93 deg, d 1.700, rel. 33
- 56.71 deg, d 1.623, rel. 9
- 57.53 deg, d 1.602, rel. 11

Atomic structure:
a b c (Å): 4.0115 4.0115 15.9767
angles (deg): 90.00 90.00 90.00
Sites, in units of the cell vectors:
Li: 0.0000 0.0000 0.0000
Li: 0.5000 0.5000 0.5000
Pu: 0.0000 0.0000 0.1800
Pu: 0.0000 0.0000 0.8200
Pu: 0.5000 0.5000 0.3200
Pu: 0.5000 0.5000 0.6800
Te: 0.0000 0.0000 0.5000
Te: 0.5000 0.5000 0.0000
O: 0.0000 0.5000 0.2500
O: 0.0000 0.5000 0.7500
O: 0.5000 0.0000 0.2500
O: 0.5000 0.0000 0.7500

***

Entry 5:
Simulated powder diffraction line list
Compound: Mg2TiNi3S8
Radiation: Cu Kα, 1.54184 Å
Structure: a structure optimized by DFT (PBE)
Peak positions follow from Bragg's law for the DFT cell and can differ from measured ones.

Principal peaks in the range 2θ = 10–90°, by angle:
- 15.20 deg, d 5.828, rel. 56
- 15.41 deg, d 5.750, rel. 40
- 29.33 deg, d 3.045, rel. 36
- 29.44 deg, d 3.034, rel. 23
- 29.64 deg, d 3.014, rel. 17
- 35.70 deg, d 2.515, rel. 100
- 46.89 deg, d 1.938, rel. 15
- 51.10 deg, d 1.788, rel. 49
- 51.62 deg, d 1.771, rel. 29
- 51.73 deg, d 1.767, rel. 14

Atomic structure:
a b c (Å): 7.0829 7.0829 7.0695
angles (deg): 119.30 119.30 60.61
Sites, in units of the cell vectors:
Mg: 0.1255 0.1255 0.3746
Mg: 0.8745 0.8745 0.6254
Ti: 0.5000 0.5000 0.0000
Ni: 0.0000 0.5000 0.0000
Ni: 0.5000 0.0000 0.0000
Ni: 0.5000 0.5000 0.5000
S: 0.2585 0.2585 0.7923
S: 0.2586 0.7081 0.2418
S: 0.2679 0.2679 0.2323
S: 0.2919 0.7414 0.7582
S: 0.7081 0.2586 0.2418
S: 0.7321 0.7321 0.7677
S: 0.7414 0.2919 0.7582
S: 0.7415 0.7415 0.2077

***

Entry 6:
Simulated powder diffraction line list
Compound: Ba4GaSn3
Radiation: Cu Kα, 1.54184 Å
Structure: a structure optimized by DFT (PBE)
Peak positions follow from Bragg's law for the DFT cell and can differ from measured ones.

Principal peaks in the range 2θ = 10–90°, by angle:
- 26.24 deg, d 3.396, rel. 100
- 26.92 deg, d 3.312, rel. 42
- 28.02 deg, d 3.185, rel. 21
- 33.04 deg, d 2.712, rel. 79
- 33.91 deg, d 2.643, rel. 60
- 38.11 deg, d 2.362, rel. 25
- 48.72 deg, d 1.869, rel. 18
- 51.90 deg, d 1.762, rel. 21
- 53.23 deg, d 1.721, rel. 18
- 67.33 deg, d 1.391, rel. 18

Atomic structure:
a b c (Å): 4.7232 5.2909 12.7388
angles (deg): 90.00 90.00 90.00
Sites, in units of the cell vectors:
Ba: 0.0000 0.0000 0.0000
Ba: 0.0000 0.5000 0.4991
Ba: 0.5000 0.0000 0.2728
Ba: 0.5000 0.5000 0.7740
Ga: 0.0000 0.5000 0.2060
Sn: 0.0000 0.0000 0.7087
Sn: 0.5000 0.0000 0.5646
Sn: 0.5000 0.5000 0.0695

***

Entry 7:
Simulated powder diffraction line list
Compound: Mg6AlSnO8
Radiation: Cu Kα, 1.54184 Å
Structure: a structure optimized by DFT (PBE)
Peak positions follow from Bragg's law for the DFT cell and can differ from measured ones.

Principal peaks in the range 2θ = 10–90°, by angle:
- 19.90 deg, d 4.461, rel. 45
- 22.29 deg, d 3.988, rel. 40
- 28.30 deg, d 3.154, rel. 39
- 30.04 deg, d 2.975, rel. 37
- 34.84 deg, d 2.575, rel. 47
- 40.35 deg, d 2.235, rel. 47
- 40.50 deg, d 2.228, rel. 100
- 58.49 deg, d 1.578, rel. 57
- 58.61 deg, d 1.575, rel. 30
- 73.56 deg, d 1.288, rel. 27

Atomic structure:
a b c (Å): 4.4552 4.4552 8.9420
angles (deg): 90.00 90.00 90.00
Sites, in units of the cell vectors:
Mg: 0.0000 0.0000 0.0000
Mg: 0.0000 0.5000 0.2352
Mg: 0.0000 0.5000 0.7648
Mg: 0.5000 0.0000 0.2352
Mg: 0.5000 0.0000 0.7648
Mg: 0.5000 0.5000 0.0000
Al: 0.0000 0.0000 0.5000
Sn: 0.5000 0.5000 0.5000
O: 0.0000 0.0000 0.2409
O: 0.0000 0.0000 0.7591
O: 0.0000 0.5000 0.0000
O: 0.0000 0.5000 0.5000
O: 0.5000 0.0000 0.0000
O: 0.5000 0.0000 0.5000
O: 0.5000 0.5000 0.2256
O: 0.5000 0.5000 0.7744

***

Entry 8:
Simulated powder diffraction line list
Compound: RbMg14BO16
Radiation: Cu Kα, 1.54184 Å
Structure: a structure optimized by DFT (PBE)
Peak positions follow from Bragg's law for the DFT cell and can differ from measured ones.

Principal peaks in the range 2θ = 10–90°, by angle:
- 10.36 deg, d 8.536, rel. 16
- 14.68 deg, d 6.036, rel. 10
- 31.44 deg, d 2.845, rel. 11
- 35.82 deg, d 2.507, rel. 30
- 40.07 deg, d 2.250, rel. 66
- 42.36 deg, d 2.134, rel. 100
- 59.72 deg, d 1.548, rel. 63
- 61.45 deg, d 1.509, rel. 26
- 73.22 deg, d 1.293, rel. 15
- 75.92 deg, d 1.253, rel. 26

Atomic structure:
a b c (Å): 8.5358 8.5358 4.5009
angles (deg): 90.00 90.00 90.00
Sites, in units of the cell vectors:
Rb: 0.0000 0.0000 0.0000
Mg: 0.0000 0.2530 0.5000
Mg: 0.0000 0.5000 0.0000
Mg: 0.0000 0.7470 0.5000
Mg: 0.2530 0.0000 0.5000
Mg: 0.2545 0.2545 0.0000
Mg: 0.2545 0.7455 0.0000
Mg: 0.2598 0.5000 0.5000
Mg: 0.5000 0.0000 0.0000
Mg: 0.5000 0.2598 0.5000
Mg: 0.5000 0.7402 0.5000
Mg: 0.7402 0.5000 0.5000
Mg: 0.7455 0.2545 0.0000
Mg: 0.7455 0.7455 0.0000
Mg: 0.7470 0.0000 0.5000
B: 0.5000 0.5000 0.0000
O: 0.0000 0.0000 0.5000
O: 0.0000 0.2832 0.0000
O: 0.0000 0.5000 0.5000
O: 0.0000 0.7168 0.0000
O: 0.2516 0.2516 0.5000
O: 0.2516 0.7484 0.5000
O: 0.2832 0.0000 0.0000
O: 0.2981 0.5000 0.0000
O: 0.5000 0.0000 0.5000
O: 0.5000 0.2981 0.0000
O: 0.5000 0.5000 0.5000
O: 0.5000 0.7019 0.0000
O: 0.7019 0.5000 0.0000
O: 0.7168 0.0000 0.0000
O: 0.7484 0.2516 0.5000
O: 0.7484 0.7484 0.5000

***

Entry 9:
Simulated powder diffraction line list
Compound: UTeSe
Radiation: Cu Kα, 1.54184 Å
Structure: a structure optimized by DFT (PBE)
Peak positions follow from Bragg's law for the DFT cell and can differ from measured ones.

Principal peaks in the range 2θ = 10–90°, by angle:
- 22.31 deg, d 3.984, rel. 42
- 25.62 deg, d 3.476, rel. 31
- 30.69 deg, d 2.913, rel. 63
- 32.44 deg, d 2.760, rel. 100
- 35.62 deg, d 2.521, rel. 24
- 35.94 deg, d 2.499, rel. 24
- 37.78 deg, d 2.381, rel. 43
- 39.54 deg, d 2.279, rel. 34
- 42.34 deg, d 2.135, rel. 33
- 59.32 deg, d 1.558, rel. 40

Atomic structure:
a b c (Å): 7.8597 4.2695 9.2448
angles (deg): 90.00 90.00 90.00
Sites, in units of the cell vectors:
U: 0.2203 0.2500 0.1294
U: 0.2797 0.7500 0.6294
U: 0.7203 0.2500 0.3706
U: 0.7797 0.7500 0.8706
Te: 0.0305 0.7500 0.3406
Te: 0.4695 0.2500 0.8406
Te: 0.5305 0.7500 0.1594
Te: 0.9695 0.2500 0.6594
Se: 0.1454 0.7500 0.9292
Se: 0.3546 0.2500 0.4292
Se: 0.6454 0.7500 0.5708
Se: 0.8546 0.2500 0.0708

***

Entry 10:
Simulated powder diffraction line list
Compound: EuAu2
Radiation: Cu Kα, 1.54184 Å
Structure: a structure optimized by DFT (PBE)
Peak positions follow from Bragg's law for the DFT cell and can differ from measured ones.

Principal peaks in the range 2θ = 10–90°, by angle:
- 30.68 deg, d 2.915, rel. 26
- 32.19 deg, d 2.781, rel. 100
- 37.04 deg, d 2.427, rel. 37
- 37.19 deg, d 2.418, rel. 62
- 37.88 deg, d 2.375, rel. 22
- 44.72 deg, d 2.026, rel. 13
- 49.90 deg, d 1.828, rel. 17
- 54.02 deg, d 1.698, rel. 17
- 61.05 deg, d 1.518, rel. 17
- 69.91 deg, d 1.346, rel. 14

Atomic structure:
a b c (Å): 4.8537 7.4316 8.3646
angles (deg): 90.00 90.00 90.00
Sites, in units of the cell vectors:
Eu: 0.0000 0.2500 0.0396
Eu: 0.0000 0.7500 0.9604
Eu: 0.5000 0.2500 0.4604
Eu: 0.5000 0.7500 0.5396
Au: 0.0000 0.0485 0.6631
Au: 0.0000 0.4515 0.6631
Au: 0.0000 0.5485 0.3369
Au: 0.0000 0.9515 0.3369
Au: 0.5000 0.0485 0.8369
Au: 0.5000 0.4515 0.8369
Au: 0.5000 0.5485 0.1631
Au: 0.5000 0.9515 0.1631